[1]
Cs3SiBi: computed XRD peak list (Cu Ka), based on a GGA-PBE-relaxed structure.
Neutral-atom scattering factors, no anomalous dispersion.

The 8 most intense peaks (5° ≤ 2θ ≤ 70°), sorted by position:
8.93 deg, I = 36
25.43 deg, I = 80
26.93 deg, I = 95
27.12 deg, I = 100
27.99 deg, I = 93
28.24 deg, I = 83
29.55 deg, I = 99
42.92 deg, I = 38

Atomic structure:
a b c (Å): 4.004 11.078 11.328
angles (deg): 63.37 79.90 89.92
Atoms (fractional coordinates):
Cs: 0.080 0.481 0.344
Cs: 0.088 0.148 0.321
Cs: 0.232 0.819 0.033
Cs: 0.768 0.181 0.967
Cs: 0.912 0.852 0.679
Cs: 0.920 0.519 0.656
Si: 0.272 0.484 0.955
Si: 0.728 0.516 0.045
Bi: 0.423 0.176 0.654
Bi: 0.577 0.824 0.346

***

[2]
CsSn6Bi2: computed XRD peak list (Cu Ka), based on a GGA-PBE-relaxed structure.
Neutral-atom scattering factors, no anomalous dispersion.

The 8 most intense peaks (5° ≤ 2θ ≤ 70°), sorted by position:
23.77 deg, I = 28
24.11 deg, I = 29
31.10 deg, I = 39
31.89 deg, I = 100
35.06 deg, I = 99
45.14 deg, I = 29
45.72 deg, I = 38
58.89 deg, I = 47

Atomic structure:
a b c (Å): 5.613 5.613 10.045
angles (deg): 90.00 90.00 90.00
Atoms (fractional coordinates):
Cs: 0.000 0.000 0.000
Sn: 0.000 0.000 0.500
Sn: 0.000 0.500 0.335
Sn: 0.000 0.500 0.665
Sn: 0.500 0.000 0.335
Sn: 0.500 0.000 0.665
Sn: 0.500 0.500 0.500
Bi: 0.500 0.500 0.165
Bi: 0.500 0.500 0.835

***

[3]
CsSnBi: computed XRD peak list (Cu Ka), based on a GGA-PBE-relaxed structure.
Neutral-atom scattering factors, no anomalous dispersion.

The 8 most intense peaks (5° ≤ 2θ ≤ 70°), sorted by position:
23.09 deg, I = 45
23.98 deg, I = 78
26.09 deg, I = 50
28.85 deg, I = 100
33.08 deg, I = 43
33.18 deg, I = 42
38.60 deg, I = 34
43.19 deg, I = 34

Atomic structure:
a b c (Å): 4.665 7.036 8.929
angles (deg): 103.84 90.19 90.02
Atoms (fractional coordinates):
Cs: 0.248 0.287 0.203
Cs: 0.752 0.713 0.797
Sn: 0.249 0.794 0.471
Sn: 0.751 0.206 0.529
Bi: 0.251 0.171 0.742
Bi: 0.749 0.829 0.258

***

[4]
Cs2Tl6SnBi: computed XRD peak list (Cu Ka), based on a GGA-PBE-relaxed structure.
Neutral-atom scattering factors, no anomalous dispersion.

The 8 most intense peaks (5° ≤ 2θ ≤ 70°), sorted by position:
25.06 deg, I = 35
25.55 deg, I = 44
27.31 deg, I = 65
29.08 deg, I = 100
29.19 deg, I = 46
33.99 deg, I = 64
42.77 deg, I = 40
44.66 deg, I = 49

Atomic structure:
a b c (Å): 15.453 15.453 15.453
angles (deg): 30.45 30.45 30.45
Atoms (fractional coordinates):
Cs: 0.102 0.102 0.102
Cs: 0.277 0.277 0.277
Cs: 0.723 0.723 0.723
Cs: 0.898 0.898 0.898
Tl: 0.080 0.663 0.663
Tl: 0.227 0.227 0.624
Tl: 0.227 0.624 0.227
Tl: 0.337 0.337 0.920
Tl: 0.337 0.920 0.337
Tl: 0.376 0.773 0.773
Tl: 0.624 0.227 0.227
Tl: 0.663 0.080 0.663
Tl: 0.663 0.663 0.080
Tl: 0.773 0.376 0.773
Tl: 0.773 0.773 0.376
Tl: 0.920 0.337 0.337
Sn: 0.000 0.000 0.000
Sn: 0.500 0.500 0.500
Bi: 0.425 0.425 0.425
Bi: 0.575 0.575 0.575

***

[5]
Cs3BiTe3: computed XRD peak list (Cu Ka), based on a GGA-PBE-relaxed structure.
Neutral-atom scattering factors, no anomalous dispersion.

The 8 most intense peaks (5° ≤ 2θ ≤ 70°), sorted by position:
12.63 deg, I = 59
20.46 deg, I = 49
22.33 deg, I = 43
22.51 deg, I = 46
23.40 deg, I = 45
31.25 deg, I = 64
31.43 deg, I = 69
32.22 deg, I = 100

Atomic structure:
a b c (Å): 12.558 12.558 15.637
angles (deg): 90.00 90.00 38.62
Atoms (fractional coordinates):
Cs: 0.014 0.342 0.869
Cs: 0.158 0.486 0.631
Cs: 0.168 0.832 0.845
Cs: 0.332 0.668 0.345
Cs: 0.342 0.014 0.131
Cs: 0.486 0.158 0.369
Cs: 0.514 0.842 0.631
Cs: 0.658 0.986 0.869
Cs: 0.668 0.332 0.655
Cs: 0.832 0.168 0.155
Cs: 0.842 0.514 0.369
Cs: 0.986 0.658 0.131
Bi: 0.086 0.086 0.500
Bi: 0.414 0.414 0.000
Bi: 0.586 0.586 0.000
Bi: 0.914 0.914 0.500
Te: 0.030 0.653 0.382
Te: 0.153 0.530 0.882
Te: 0.218 0.782 0.599
Te: 0.282 0.718 0.099
Te: 0.347 0.970 0.382
Te: 0.470 0.847 0.882
Te: 0.530 0.153 0.118
Te: 0.653 0.030 0.618
Te: 0.718 0.282 0.901
Te: 0.782 0.218 0.401
Te: 0.847 0.470 0.118
Te: 0.970 0.347 0.618

***

[6]
CsBi4Te6: computed XRD peak list (Cu Ka), based on a GGA-PBE-relaxed structure.
Neutral-atom scattering factors, no anomalous dispersion.

The 8 most intense peaks (5° ≤ 2θ ≤ 70°), sorted by position:
6.09 deg, I = 41
27.23 deg, I = 56
27.47 deg, I = 100
38.02 deg, I = 11
38.33 deg, I = 32
39.80 deg, I = 35
40.43 deg, I = 25
49.49 deg, I = 12

Atomic structure:
a b c (Å): 4.462 14.760 26.304
angles (deg): 79.38 85.27 89.95
Atoms (fractional coordinates):
Cs: 0.000 0.000 0.000
Cs: 0.109 0.034 0.780
Cs: 0.366 0.002 0.264
Cs: 0.742 0.033 0.516
Bi: 0.010 0.378 0.972
Bi: 0.038 0.719 0.922
Bi: 0.069 0.316 0.858
Bi: 0.097 0.657 0.808
Bi: 0.186 0.274 0.616
Bi: 0.215 0.611 0.563
Bi: 0.315 0.260 0.361
Bi: 0.340 0.603 0.316
Bi: 0.436 0.235 0.120
Bi: 0.463 0.572 0.071
Bi: 0.644 0.463 0.710
Bi: 0.671 0.799 0.661
Bi: 0.766 0.432 0.464
Bi: 0.792 0.775 0.419
Bi: 0.891 0.424 0.217
Bi: 0.921 0.761 0.165
Te: 0.135 0.314 0.727
Te: 0.158 0.624 0.679
Te: 0.178 0.940 0.643
Te: 0.254 0.282 0.485
Te: 0.277 0.595 0.440
Te: 0.294 0.915 0.411
Te: 0.377 0.277 0.242
Te: 0.399 0.586 0.199
Te: 0.432 0.899 0.138
Te: 0.491 0.235 0.005
Te: 0.516 0.548 0.958
Te: 0.544 0.862 0.908
Te: 0.563 0.172 0.873
Te: 0.591 0.487 0.823
Te: 0.616 0.800 0.775
Te: 0.675 0.136 0.643
Te: 0.708 0.449 0.582
Te: 0.730 0.758 0.539
Te: 0.812 0.120 0.370
Te: 0.830 0.440 0.341
Te: 0.853 0.753 0.296
Te: 0.929 0.095 0.137
Te: 0.949 0.411 0.101
Te: 0.972 0.721 0.053